Record 1
Starting from the PBE geometry in Alexandria, the XRD peak list of LaY2Ga2Cu2 was calculated for Cu Ka.
Peak positions follow from Bragg's law for the DFT cell and can differ from measured ones.

Cell and atoms:
a b c (Å): 4.4530 4.4530 28.0867
angles (deg): 90.00 90.00 120.00
Space group R-3m (No. 166, hexagonal axes)
Asymmetric unit:
1 La 0.0000 0.0000 0.0000 x3
2 Y 0.0000 0.0000 0.1255 x6
3 Ga 0.0000 0.0000 0.2576 x6
4 Cu 0.0000 0.0000 0.4063 x6

Peak list (10 most intense, 2θ from 15° to 90°, in order of rising 2θ)
- 2θ 23.28, intensity 24.3, (1 0 1)
- 2θ 32.19, intensity 80.5, (1 0 7)
- 2θ 34.55, intensity 88.4, (0 1 8)
- 2θ 40.52, intensity 100.0, (1 1 0)
- 2θ 52.67, intensity 19.4, (0 2 7)
- 2θ 54.28, intensity 23.7, (2 0 8)
- 2θ 65.09, intensity 30.0, (1 1 15)
- 2θ 68.49, intensity 17.1, (2 1 7)
- 2θ 69.87, intensity 21.7, (1 2 8)
- 2θ 73.70, intensity 16.0, (3 0 0)

---

Record 2
Starting from the PBE geometry in Alexandria, the XRD peak list of LaZnGaCu2 was calculated for Cu Ka.
Peak positions follow from Bragg's law for the DFT cell and can differ from measured ones.

Cell and atoms:
a b c (Å): 4.228 4.228 10.463
angles (deg): 90.00 90.00 90.00
Space group I-4m2 (No. 119)
Asymmetric unit:
1 La 0.000 0.000 0.000 x2
2 Zn 0.000 0.500 0.250 x2
3 Ga 0.000 0.500 0.750 x2
4 Cu 0.000 0.000 0.382 x4

Peak list (10 most intense, 2θ from 15° to 90°, in order of rising 2θ)
- 2θ 29.89, intensity 14.5, (1 1 0)
- 2θ 33.30, intensity 62.6, (1 0 3)
- 2θ 34.56, intensity 100.0, (1 1 2)
- 2θ 42.78, intensity 56.0, (2 0 0)
- 2θ 48.54, intensity 27.9, (1 0 5)
- 2θ 55.27, intensity 28.5, (2 1 3)
- 2θ 62.10, intensity 17.7, (2 2 0)
- 2θ 66.67, intensity 20.7, (2 1 5)
- 2θ 73.05, intensity 21.4, (3 1 2)
- 2θ 87.79, intensity 20.2, (2 0 8)

---

Record 3
Starting from the PBE geometry in Alexandria, the XRD peak list of Li4Ga3Cu was calculated for Cu Ka.
Peak positions follow from Bragg's law for the DFT cell and can differ from measured ones.

Cell and atoms:
a b c (Å): 4.240 2.672 11.298
angles (deg): 90.00 97.03 90.00
Space group P2/m (No. 10)
Asymmetric unit:
1 Li 0.144 0.000 0.202 x2
2 Li 0.227 0.000 0.433 x2
3 Ga 0.311 0.500 0.675 x2
4 Ga 0.500 0.000 0.000 x1
5 Cu 0.000 0.500 0.000 x1

Peak list (10 most intense, 2θ from 15° to 90°, in order of rising 2θ)
- 2θ 23.47, intensity 23.1, (1 0 1)
- 2θ 23.81, intensity 100.0, (0 0 3)
- 2θ 24.85, intensity 20.2, (1 0 -2)
- 2θ 41.34, intensity 54.5, (1 1 1)
- 2θ 42.19, intensity 48.7, (1 1 -2)
- 2θ 42.74, intensity 24.7, (2 0 -1)
- 2θ 48.01, intensity 15.1, (2 0 2)
- 2θ 48.72, intensity 14.1, (0 0 6)
- 2θ 53.81, intensity 19.6, (1 1 4)
- 2θ 55.88, intensity 16.4, (1 1 -5)

---

Record 4
Starting from the PBE geometry in Alexandria, the XRD peak list of Li2Ga3Cu4 was calculated for Cu Ka.
Peak positions follow from Bragg's law for the DFT cell and can differ from measured ones.

Cell and atoms:
a b c (Å): 5.302 15.004 6.845
angles (deg): 90.00 90.00 90.00
Space group Cmce (No. 64)
Asymmetric unit:
1 Li 0.000 0.088 0.115 x8
2 Ga 0.000 0.000 0.500 x4
3 Ga 0.250 0.250 0.250 x8
4 Cu 0.000 0.164 0.494 x8
5 Cu 0.250 0.079 0.750 x8

Peak list (10 most intense, 2θ from 15° to 90°, in order of rising 2θ)
- 2θ 17.54, intensity 44.3, (0 2 1)
- 2θ 22.02, intensity 91.1, (1 1 1)
- 2θ 27.11, intensity 23.6, (0 4 1)
- 2θ 36.84, intensity 25.5, (1 5 1)
- 2θ 43.17, intensity 100.0, (2 0 2)
- 2θ 44.89, intensity 89.9, (0 6 2)
- 2θ 50.15, intensity 59.8, (2 6 0)
- 2θ 53.55, intensity 24.4, (0 0 4)
- 2θ 76.42, intensity 34.0, (2 6 4)
- 2θ 88.17, intensity 22.5, (4 6 2)

---

Record 5
Starting from the PBE geometry in Alexandria, the XRD peak list of Li4Ga2Cu5 was calculated for Cu Ka.
Peak positions follow from Bragg's law for the DFT cell and can differ from measured ones.

Cell and atoms:
a b c (Å): 8.414 5.203 6.939
angles (deg): 90.00 94.88 90.00
Space group C2/m (No. 12)
Asymmetric unit:
1 Li 0.142 0.000 0.096 x4
2 Li 0.163 0.000 0.461 x4
3 Ga 0.136 0.500 0.172 x4
4 Cu 0.000 0.500 0.500 x2
5 Cu 0.109 0.251 0.786 x8

Peak list (10 most intense, 2θ from 15° to 90°, in order of rising 2θ)
- 2θ 20.09, intensity 47.6, (1 1 0)
- 2θ 23.87, intensity 24.5, (2 0 -1)
- 2θ 24.38, intensity 16.4, (1 1 1)
- 2θ 25.77, intensity 36.1, (0 0 2)
- 2θ 39.09, intensity 29.0, (0 0 3)
- 2θ 42.37, intensity 27.8, (2 2 -1)
- 2θ 43.16, intensity 18.2, (4 0 0)
- 2θ 43.53, intensity 100.0, (2 2 1)
- 2θ 47.84, intensity 27.2, (2 2 -2)
- 2θ 52.98, intensity 16.6, (4 0 2)

---

Record 6
Starting from the PBE geometry in Alexandria, the XRD peak list of LiGa6Cu8 was calculated for Cu Ka.
Peak positions follow from Bragg's law for the DFT cell and can differ from measured ones.

Cell and atoms:
a b c (Å): 9.9001 9.9001 2.6130
angles (deg): 90.00 90.00 120.00
Space group P-3 (No. 147)
Asymmetric unit:
1 Li 0.0000 0.0000 0.0000 x1
2 Ga 0.1024 0.6440 0.2243 x6
3 Cu 0.0519 0.2550 0.2780 x6
4 Cu 0.3333 0.6667 0.7208 x2

Peak list (10 most intense, 2θ from 15° to 90°, in order of rising 2θ)
- 2θ 27.52, intensity 56.7, (1 2 0)
- 2θ 37.83, intensity 42.2, (1 3 0)
- 2θ 40.43, intensity 39.1, (0 2 1)
- 2θ 44.54, intensity 100.0, (1 2 1)
- 2θ 46.15, intensity 24.0, (2 3 0)
- 2θ 47.13, intensity 12.4, (3 0 1)
- 2θ 48.67, intensity 48.6, (1 4 0)
- 2θ 58.76, intensity 14.9, (3 2 1)
- 2θ 68.09, intensity 10.5, (6 -2 1)
- 2θ 82.50, intensity 11.4, (7 -6 1)

---

Record 7
Starting from the PBE geometry in Alexandria, the XRD peak list of Li4GaCu4 was calculated for Cu Ka.
Peak positions follow from Bragg's law for the DFT cell and can differ from measured ones.

Cell and atoms:
a b c (Å): 7.715 7.715 3.965
angles (deg): 90.00 90.00 90.00
Space group I4/mmm (No. 139)
Asymmetric unit:
1 Li 0.169 0.169 0.000 x8
2 Ga 0.000 0.000 0.500 x2
3 Cu 0.000 0.342 0.500 x8

Peak list (10 most intense, 2θ from 15° to 90°, in order of rising 2θ)
- 2θ 16.25, intensity 21.3, (1 1 0)
- 2θ 23.06, intensity 37.7, (2 0 0)
- 2θ 25.25, intensity 45.7, (1 0 1)
- 2θ 36.84, intensity 16.5, (3 1 0)
- 2θ 41.87, intensity 100.0, (3 0 1)
- 2θ 45.77, intensity 19.3, (0 0 2)
- 2θ 48.33, intensity 19.6, (3 2 1)
- 2θ 50.17, intensity 28.5, (3 3 0)
- 2θ 70.23, intensity 19.2, (3 3 2)
- 2θ 88.52, intensity 19.5, (6 3 1)